Theoretical powder XRD pattern
Compound: FeMo2
Radiation: copper Kα
Structure: DFT lattice parameters and positions (PBE)
Lines closer than 0.1° are merged.

Peak list (12 most intense, 10° ≤ 2θ ≤ 90°, low angle first)
hkl 1 0 0, 2θ = 23.31°, rel. 103; hkl 0 0 1, 2θ = 34.33°, rel. 18; hkl 1 1 0, 2θ = 40.97°, rel. 1000; hkl 1 0 1, 2θ = 41.91°, rel. 949; hkl 2 0 0, 2θ = 47.67°, rel. 15; hkl 1 1 1, 2θ = 54.49°, rel. 28; hkl 0 2 1, 2θ = 60.05°, rel. 312; hkl 2 1 0, 2θ = 64.63°, rel. 13; hkl 3 0 0, 2θ = 74.62°, rel. 160; hkl 2 1 1, 2θ = 75.26°, rel. 319; hkl 0 1 2, 2θ = 77.19°, rel. 153; hkl 2 2 0, 2θ = 88.84°, rel. 106

Structure:
Lattice parameters (Å, degrees): 4.4060 4.4060 2.6124 90.00 90.00 120.00
Space group P-3m1 (No. 164)
Unique sites:
Fe (0.0000, 0.0000, 0.0000) (multiplicity 1)
Mo (0.3333, 0.6667, 0.6604) (multiplicity 2)